1.
The following is a calculated powder XRD pattern of PrPS. It was derived from a PBE-relaxed structure, using Cu Ka.

Structural model:
abc: 5.625 5.542 17.348
angles: 90.00 90.00 90.00
Sites, in units of the cell vectors:
Pr: 0.016 0.250 0.138
Pr: 0.016 0.750 0.353
Pr: 0.484 0.250 0.853
Pr: 0.484 0.750 0.638
Pr: 0.516 0.250 0.362
Pr: 0.516 0.750 0.147
Pr: 0.984 0.250 0.647
Pr: 0.984 0.750 0.862
P: 0.194 0.044 0.503
P: 0.194 0.456 0.503
P: 0.306 0.544 0.003
P: 0.306 0.956 0.003
P: 0.694 0.044 0.997
P: 0.694 0.456 0.997
P: 0.806 0.544 0.497
P: 0.806 0.956 0.497
S: 0.013 0.750 0.183
S: 0.015 0.250 0.311
S: 0.485 0.750 0.811
S: 0.487 0.250 0.683
S: 0.513 0.750 0.317
S: 0.515 0.250 0.189
S: 0.985 0.750 0.689
S: 0.987 0.250 0.817

Largest 10 diffraction maxima, low angle first, 2θ = 5–70°:
20.5°, I = 29
24.8°, I = 100
30.9°, I = 22
31.8°, I = 23
32.3°, I = 24
38.1°, I = 28
38.6°, I = 72
46.0°, I = 27
47.9°, I = 14
53.2°, I = 13

---

2.
The following is a calculated powder XRD pattern of PrTlP2S7. It was derived from a PBE-relaxed structure, using Cu Ka.

Structural model:
abc: 9.896 12.525 9.137
angles: 90.00 90.45 90.00
Sites, in units of the cell vectors:
Pr: 0.144 0.143 0.392
Pr: 0.144 0.357 0.892
Pr: 0.856 0.643 0.108
Pr: 0.856 0.857 0.608
Tl: 0.397 0.689 0.872
Tl: 0.397 0.811 0.372
Tl: 0.603 0.189 0.628
Tl: 0.603 0.311 0.128
P: 0.188 0.537 0.198
P: 0.188 0.963 0.698
P: 0.276 0.100 0.022
P: 0.276 0.400 0.522
P: 0.724 0.600 0.478
P: 0.724 0.900 0.978
P: 0.812 0.037 0.302
P: 0.812 0.463 0.802
S: 0.022 0.058 0.679
S: 0.022 0.442 0.179
S: 0.091 0.164 0.069
S: 0.091 0.336 0.569
S: 0.149 0.693 0.147
S: 0.149 0.807 0.647
S: 0.252 0.554 0.421
S: 0.252 0.946 0.921
S: 0.337 0.022 0.571
S: 0.337 0.478 0.071
S: 0.369 0.056 0.210
S: 0.369 0.444 0.710
S: 0.372 0.205 0.890
S: 0.372 0.295 0.390
S: 0.628 0.705 0.610
S: 0.628 0.795 0.110
S: 0.631 0.556 0.290
S: 0.631 0.944 0.790
S: 0.663 0.522 0.929
S: 0.663 0.978 0.429
S: 0.748 0.054 0.079
S: 0.748 0.446 0.579
S: 0.851 0.193 0.353
S: 0.851 0.307 0.853
S: 0.909 0.664 0.431
S: 0.909 0.836 0.931
S: 0.978 0.558 0.821
S: 0.978 0.942 0.321

Largest 10 diffraction maxima, low angle first, 2θ = 5–70°:
12.0°, I = 42
19.3°, I = 100
19.4°, I = 39
21.5°, I = 28
22.5°, I = 68
23.4°, I = 25
25.0°, I = 64
25.1°, I = 42
30.1°, I = 49
31.5°, I = 60

---

3.
The following is a calculated powder XRD pattern of PrUP2. It was derived from a PBE-relaxed structure, using Cu Ka.

Structural model:
abc: 4.076 4.076 5.751
angles: 90.00 90.00 90.00
Sites, in units of the cell vectors:
Pr: 0.000 0.000 0.000
U: 0.500 0.500 0.500
P: 0.000 0.000 0.500
P: 0.500 0.500 0.000

Largest 10 diffraction maxima, low angle first, 2θ = 5–70°:
15.4°, I = 6
21.8°, I = 6
26.8°, I = 96
31.1°, I = 100
34.8°, I = 4
44.5°, I = 74
52.7°, I = 48
55.2°, I = 26
64.7°, I = 8
64.9°, I = 4

---

4.
The following is a calculated powder XRD pattern of PrZn3P3. It was derived from a PBE-relaxed structure, using Cu Ka.

Structural model:
abc: 4.063 4.063 20.175
angles: 90.00 90.00 120.00
Sites, in units of the cell vectors:
Pr: 0.000 0.000 0.000
Pr: 0.000 0.000 0.500
Zn: 0.333 0.667 0.130
Zn: 0.333 0.667 0.370
Zn: 0.333 0.667 0.750
Zn: 0.667 0.333 0.250
Zn: 0.667 0.333 0.630
Zn: 0.667 0.333 0.870
P: 0.333 0.667 0.250
P: 0.333 0.667 0.588
P: 0.333 0.667 0.912
P: 0.667 0.333 0.088
P: 0.667 0.333 0.412
P: 0.667 0.333 0.750

Largest 10 diffraction maxima, low angle first, 2θ = 5–70°:
8.8°, I = 20
26.8°, I = 100
31.0°, I = 66
33.8°, I = 39
35.6°, I = 32
37.0°, I = 56
44.6°, I = 74
52.3°, I = 17
52.8°, I = 15
58.3°, I = 44

---

5.
The following is a calculated powder XRD pattern of PPt. It was derived from a PBE-relaxed structure, using Cu Ka.

Structural model:
abc: 3.743 3.743 6.354
angles: 90.00 90.00 120.00
Sites, in units of the cell vectors:
P: 0.333 0.667 0.000
P: 0.667 0.333 0.500
Pt: 0.333 0.667 0.369
Pt: 0.667 0.333 0.869

Largest 10 diffraction maxima, low angle first, 2θ = 5–70°:
27.5°, I = 38
28.1°, I = 36
31.0°, I = 100
39.7°, I = 21
48.7°, I = 32
51.5°, I = 38
56.8°, I = 5
57.1°, I = 30
58.8°, I = 17
64.5°, I = 5

---

6.
The following is a calculated powder XRD pattern of PPt3. It was derived from a PBE-relaxed structure, using Cu Ka.

Structural model:
abc: 4.926 4.926 4.926
angles: 133.35 133.35 68.10
Sites, in units of the cell vectors:
P: 0.000 0.000 0.000
Pt: 0.250 0.750 0.500
Pt: 0.500 0.500 0.000
Pt: 0.750 0.250 0.500

Largest 10 diffraction maxima, low angle first, 2θ = 5–70°:
21.8°, I = 8
25.3°, I = 22
32.5°, I = 6
39.4°, I = 100
40.4°, I = 7
44.4°, I = 18
46.6°, I = 31
53.7°, I = 6
66.3°, I = 22
68.0°, I = 10

---

7.
The following is a calculated powder XRD pattern of SmPPt. It was derived from a PBE-relaxed structure, using Cu Ka.

Structural model:
abc: 4.174 4.174 3.988
angles: 90.00 90.00 120.00
Sites, in units of the cell vectors:
Sm: 0.000 0.000 0.000
P: 0.667 0.333 0.500
Pt: 0.333 0.667 0.500

Largest 10 diffraction maxima, low angle first, 2θ = 5–70°:
22.3°, I = 3
24.6°, I = 25
33.5°, I = 100
43.4°, I = 39
45.5°, I = 11
50.5°, I = 4
52.4°, I = 7
55.8°, I = 23
64.6°, I = 24
68.7°, I = 3

---

Copy entry 3 word for word.
The following is a calculated powder XRD pattern of PrUP2. It was derived from a PBE-relaxed structure, using Cu Ka.

Structural model:
abc: 4.076 4.076 5.751
angles: 90.00 90.00 90.00
Sites, in units of the cell vectors:
Pr: 0.000 0.000 0.000
U: 0.500 0.500 0.500
P: 0.000 0.000 0.500
P: 0.500 0.500 0.000

Largest 10 diffraction maxima, low angle first, 2θ = 5–70°:
15.4°, I = 6
21.8°, I = 6
26.8°, I = 96
31.1°, I = 100
34.8°, I = 4
44.5°, I = 74
52.7°, I = 48
55.2°, I = 26
64.7°, I = 8
64.9°, I = 4

---

- Which formula does entry 6 have?
  PPt3

---

Repeat the second record exactly.
The following is a calculated powder XRD pattern of PrTlP2S7. It was derived from a PBE-relaxed structure, using Cu Ka.

Structural model:
abc: 9.896 12.525 9.137
angles: 90.00 90.45 90.00
Sites, in units of the cell vectors:
Pr: 0.144 0.143 0.392
Pr: 0.144 0.357 0.892
Pr: 0.856 0.643 0.108
Pr: 0.856 0.857 0.608
Tl: 0.397 0.689 0.872
Tl: 0.397 0.811 0.372
Tl: 0.603 0.189 0.628
Tl: 0.603 0.311 0.128
P: 0.188 0.537 0.198
P: 0.188 0.963 0.698
P: 0.276 0.100 0.022
P: 0.276 0.400 0.522
P: 0.724 0.600 0.478
P: 0.724 0.900 0.978
P: 0.812 0.037 0.302
P: 0.812 0.463 0.802
S: 0.022 0.058 0.679
S: 0.022 0.442 0.179
S: 0.091 0.164 0.069
S: 0.091 0.336 0.569
S: 0.149 0.693 0.147
S: 0.149 0.807 0.647
S: 0.252 0.554 0.421
S: 0.252 0.946 0.921
S: 0.337 0.022 0.571
S: 0.337 0.478 0.071
S: 0.369 0.056 0.210
S: 0.369 0.444 0.710
S: 0.372 0.205 0.890
S: 0.372 0.295 0.390
S: 0.628 0.705 0.610
S: 0.628 0.795 0.110
S: 0.631 0.556 0.290
S: 0.631 0.944 0.790
S: 0.663 0.522 0.929
S: 0.663 0.978 0.429
S: 0.748 0.054 0.079
S: 0.748 0.446 0.579
S: 0.851 0.193 0.353
S: 0.851 0.307 0.853
S: 0.909 0.664 0.431
S: 0.909 0.836 0.931
S: 0.978 0.558 0.821
S: 0.978 0.942 0.321

Largest 10 diffraction maxima, low angle first, 2θ = 5–70°:
12.0°, I = 42
19.3°, I = 100
19.4°, I = 39
21.5°, I = 28
22.5°, I = 68
23.4°, I = 25
25.0°, I = 64
25.1°, I = 42
30.1°, I = 49
31.5°, I = 60